For MgBi2O5, a cell relaxed with GGA-PBE gives the computed powder diffractogram in this record (Cu Kα (λ = 1.5418 Å)).
Kinematic intensities with the Lorentz-polarization factor, no thermal factor.

Main lines, sorted by position (10° ≤ 2θ ≤ 90°):
2θ 16.17, I = 79, hkl 0 0 2; 2θ 18.10, I = 41, hkl 0 2 1; 2θ 22.16, I = 100, hkl 1 1 0; 2θ 29.38, I = 97, hkl 0 2 3; 2θ 32.12, I = 51, hkl 1 3 0; 2θ 33.17, I = 65, hkl 1 1 3; 2θ 52.01, I = 41, hkl 2 2 3; 2θ 53.16, I = 47, hkl 1 5 3

Structural model:
```
data_MgBi2O5
_cell_length_a 4.311
_cell_length_b 10.959
_cell_length_c 10.961
_cell_angle_alpha 90.00
_cell_angle_beta 90.00
_cell_angle_gamma 90.00
_space_group_name_H-M_alt 'C m c m'
_space_group_IT_number 63
_space_group_name_Hall '-C 2c 2'
loop_
_atom_site_label
_atom_site_fract_x
_atom_site_fract_y
_atom_site_fract_z
Mg1 0.000 0.186 0.250
Bi1 0.000 0.139 0.570
O1 0.000 0.055 0.115
O2 0.000 0.242 0.750
O3 0.000 0.305 0.081
```